Record 1
For Sr2CuSe3O9, a cell relaxed with GGA-PBE gives the simulated powder XRD pattern in this record (copper Kα).
Intensities are scaled so that the largest is 100.

Most intense lines, 10° ≤ 2θ ≤ 90°, by intensity:
26.17 deg, intensity 100, hkl -1 1 2; 27.79 deg, intensity 88, hkl -1 2 1; 28.81 deg, intensity 80, hkl 1 2 0; 30.38 deg, intensity 78, hkl 2 1 -2; 30.18 deg, intensity 74, hkl 2 -1 1; 31.42 deg, intensity 58, hkl 1 1 -3; 31.91 deg, intensity 51, hkl 0 1 -3; 50.31 deg, intensity 38, hkl 4 0 -1; 33.78 deg, intensity 37, hkl 1 1 2; 26.04 deg, intensity 34, hkl 1 -2 1

Cell and atoms:
Unit cell a=7.3293 b=7.8942 c=8.7781 alpha=102.26 beta=105.35 gamma=96.67
Space group P-1 (No. 2)
Asymmetric unit:
1 Sr 0.1244 0.4844 0.3074
2 Sr 0.2589 0.9099 0.1092
3 Cu 0.4144 0.6589 0.7524
4 Se 0.1348 0.9182 0.7046
5 Se 0.2732 0.3687 0.9132
6 Se 0.3999 0.2021 0.5300
7 O 0.0154 0.1293 0.1820
8 O 0.0291 0.2986 0.8514
9 O 0.1616 0.7017 0.6191
10 O 0.2767 0.5934 0.9098
11 O 0.3155 0.3973 0.5577
12 O 0.3290 0.3770 0.1206
13 O 0.3474 0.9982 0.8582
14 O 0.3747 0.7517 0.3334
15 O 0.4425 0.1815 0.3413

***

Record 2
For PuAlNi, a cell relaxed with GGA-PBE gives the simulated powder XRD pattern in this record (copper Kα).
Intensities are scaled so that the largest is 100.

Most intense lines, 10° ≤ 2θ ≤ 90°, by intensity:
38.97 deg, intensity 100, hkl 2 0 1; 35.37 deg, intensity 84, hkl 1 1 1; 21.70 deg, intensity 48, hkl 0 0 1; 31.96 deg, intensity 45, hkl 2 0 0; 64.13 deg, intensity 39, hkl 3 1 1; 27.59 deg, intensity 33, hkl 1 1 0; 42.72 deg, intensity 26, hkl 2 1 0; 59.52 deg, intensity 26, hkl 3 1 0; 77.07 deg, intensity 25, hkl 3 1 2; 77.89 deg, intensity 25, hkl 2 0 3

Cell and atoms:
Unit cell a=6.4660 b=6.4660 c=4.0952 alpha=90.00 beta=90.00 gamma=120.00
Space group P-62m (No. 189)
Asymmetric unit:
1 Pu 0.0000 0.4275 0.0000
2 Al 0.0000 0.7601 0.5000
3 Ni 0.0000 0.0000 0.0000
4 Ni 0.3333 0.6667 0.5000

***

Record 3
For Na3Al3Ge3O16, a cell relaxed with GGA-PBE gives the simulated powder XRD pattern in this record (copper Kα).
Intensities are scaled so that the largest is 100.

Most intense lines, 10° ≤ 2θ ≤ 90°, by intensity:
23.58 deg, intensity 100, hkl 1 2 2; 33.56 deg, intensity 51, hkl 0 4 2; 13.52 deg, intensity 47, hkl 1 1 0; 23.84 deg, intensity 35, hkl 1 0 4; 21.47 deg, intensity 25, hkl 2 1 1; 21.64 deg, intensity 24, hkl 1 1 3; 19.25 deg, intensity 22, hkl 2 0 2; 13.65 deg, intensity 20, hkl 0 1 2; 34.02 deg, intensity 17, hkl 0 0 6; 30.76 deg, intensity 14, hkl 2 1 4

Cell and atoms:
Unit cell a=13.1033 b=13.1033 c=15.8129 alpha=90.00 beta=90.00 gamma=120.00
Space group R3c (No. 161, hexagonal axes)
Asymmetric unit:
1 Na 0.2090 0.4189 0.0000
2 Al 0.0014 0.2478 0.6467
3 Ge 0.0002 0.2480 0.1469
4 O 0.0000 0.0000 0.3379
5 O 0.0031 0.2882 0.7542
6 O 0.0030 0.2895 0.2540
7 O 0.0472 0.5228 0.7766
8 O 0.0524 0.1049 0.4149
9 O 0.1916 0.0955 0.1432

***

Record 4
For Lu2MgSe4, a cell relaxed with GGA-PBE gives the simulated powder XRD pattern in this record (copper Kα).
Intensities are scaled so that the largest is 100.

Most intense lines, 10° ≤ 2θ ≤ 90°, by intensity:
31.62 deg, intensity 100, hkl 3 2 1; 33.74 deg, intensity 81, hkl 3 2 2; 24.23 deg, intensity 60, hkl 2 0 3; 41.68 deg, intensity 50, hkl 1 2 5; 30.11 deg, intensity 45, hkl 2 0 4; 46.48 deg, intensity 42, hkl 6 0 3; 46.83 deg, intensity 34, hkl 0 4 0; 43.95 deg, intensity 32, hkl 5 2 2; 18.98 deg, intensity 28, hkl 2 1 1; 68.11 deg, intensity 28, hkl 6 4 3

Cell and atoms:
Unit cell a=13.0531 b=7.7607 c=13.3315 alpha=90.00 beta=90.00 gamma=90.00
Space group Pca2_1 (No. 29)
Asymmetric unit:
1 Lu 0.1079 0.1178 0.0000
2 Lu 0.1280 0.6196 0.6396
3 Lu 0.1332 0.3714 0.3027
4 Lu 0.1332 0.8709 0.3034
5 Mg 0.1102 0.6193 0.0030
6 Mg 0.1266 0.1218 0.6352
7 Se 0.0142 0.1243 0.1901
8 Se 0.0198 0.6256 0.1837
9 Se 0.0370 0.6263 0.4447
10 Se 0.0404 0.1269 0.4486
11 Se 0.2136 0.1206 0.8198
12 Se 0.2140 0.6207 0.8303
13 Se 0.2303 0.3689 0.0928
14 Se 0.2305 0.8724 0.0933

***

Record 5
For TbCu2Si2, a cell relaxed with GGA-PBE gives the simulated powder XRD pattern in this record (copper Kα).
Intensities are scaled so that the largest is 100.

Most intense lines, 10° ≤ 2θ ≤ 90°, by intensity:
36.69 deg, intensity 100, hkl 1 1 2; 35.19 deg, intensity 46, hkl 1 0 3; 24.09 deg, intensity 42, hkl 1 0 1; 45.61 deg, intensity 37, hkl 2 0 0; 58.89 deg, intensity 20, hkl 2 1 3; 78.41 deg, intensity 20, hkl 3 1 2; 51.25 deg, intensity 18, hkl 1 0 5; 36.03 deg, intensity 17, hkl 0 0 4; 65.21 deg, intensity 15, hkl 1 1 6; 59.46 deg, intensity 15, hkl 2 0 4

Cell and atoms:
Unit cell a=3.9776 b=3.9776 c=9.9699 alpha=90.00 beta=90.00 gamma=90.00
Space group I4/mmm (No. 139)
Asymmetric unit:
1 Tb 0.0000 0.0000 0.0000
2 Cu 0.0000 0.5000 0.2500
3 Si 0.0000 0.0000 0.3820

***

Record 6
For BiPtSe, a cell relaxed with GGA-PBE gives the simulated powder XRD pattern in this record (copper Kα).
Intensities are scaled so that the largest is 100.

Most intense lines, 10° ≤ 2θ ≤ 90°, by intensity:
45.92 deg, intensity 100, hkl 3 1 1; 30.50 deg, intensity 95, hkl 2 1 0; 33.49 deg, intensity 59, hkl 2 1 1; 27.21 deg, intensity 41, hkl 2 0 0; 52.22 deg, intensity 35, hkl 3 1 2; 38.86 deg, intensity 33, hkl 2 2 0; 75.35 deg, intensity 30, hkl 3 3 3; 23.51 deg, intensity 24, hkl 1 1 1; 83.42 deg, intensity 24, hkl 4 4 0; 78.61 deg, intensity 21, hkl 5 0 2

Cell and atoms:
Unit cell a=6.5542 b=6.5542 c=6.5542 alpha=90.00 beta=90.00 gamma=90.00
Space group P2_13 (No. 198)
Asymmetric unit:
1 Bi 0.1274 0.3726 0.6274
2 Pt 0.0104 0.9896 0.4896
3 Se 0.1224 0.1224 0.1224

***

Record 7
For Nb4GeS8, a cell relaxed with GGA-PBE gives the simulated powder XRD pattern in this record (copper Kα).
Intensities are scaled so that the largest is 100.

Most intense lines, 10° ≤ 2θ ≤ 90°, by intensity:
12.35 deg, intensity 100, hkl 0 0 4; 37.85 deg, intensity 36, hkl 1 0 7; 32.07 deg, intensity 25, hkl 0 1 3; 54.45 deg, intensity 25, hkl 1 1 0; 39.83 deg, intensity 23, hkl 0 1 8; 34.48 deg, intensity 20, hkl 1 0 5; 41.98 deg, intensity 20, hkl 0 1 9; 46.72 deg, intensity 19, hkl 1 0 11; 31.27 deg, intensity 16, hkl 1 0 2; 30.79 deg, intensity 13, hkl 0 1 1

Cell and atoms:
Unit cell a=3.3701 b=3.3701 c=28.6718 alpha=90.00 beta=90.00 gamma=120.00
Space group P3m1 (No. 156)
Asymmetric unit:
1 Nb 0.0000 0.0000 0.0000
2 Nb 0.0000 0.0000 0.2541
3 Nb 0.6667 0.3333 0.4901
4 Nb 0.6667 0.3333 0.7488
5 Ge 0.6667 0.3333 0.8718
6 S 0.0000 0.0000 0.6939
7 S 0.0000 0.0000 0.8043
8 S 0.3333 0.6667 0.0537
9 S 0.3333 0.6667 0.4353
10 S 0.3333 0.6667 0.5450
11 S 0.3333 0.6667 0.9433
12 S 0.6667 0.3333 0.1992
13 S 0.6667 0.3333 0.3089

***

Record 8
For Na3Si, a cell relaxed with GGA-PBE gives the simulated powder XRD pattern in this record (copper Kα).
Intensities are scaled so that the largest is 100.

Most intense lines, 10° ≤ 2θ ≤ 90°, by intensity:
34.66 deg, intensity 100, hkl 2 2 0; 62.12 deg, intensity 32, hkl 4 2 2; 49.83 deg, intensity 17, hkl 4 0 0; 83.53 deg, intensity 12, hkl 6 2 0; 73.13 deg, intensity 9, hkl 4 4 0; 21.02 deg, intensity 1, hkl 1 1 1

Cell and atoms:
Unit cell a=7.3203 b=7.3203 c=7.3203 alpha=90.00 beta=90.00 gamma=90.00
Space group Fm-3m (No. 225)
Asymmetric unit:
1 Na 0.0000 0.0000 0.0000
2 Na 0.2500 0.2500 0.2500
3 Si 0.0000 0.0000 0.5000